Calculated X-ray diffraction stick pattern
Compound: Li5NiO3F2
Radiation: Cu Kα (weighted mean of Kα1 and Kα2)
Structure: a crystal structure in Alexandria, relaxed with GGA+U
Lines closer than 0.1° are merged.

The 12 most intense peaks (5 to 70 degrees two-theta), sorted by position:
d/Å  two_theta  I_rel
5.570  15.91  100
4.459  19.91  19
4.206  21.12  65
3.607  24.68  93
3.226  27.65  18
3.035  29.43  34
2.103  43.01  38
2.079  43.53  53
1.972  46.02  34
1.858  49.02  16
1.439  64.81  18
1.431  65.19  18

Cell and atoms:
```
Li5NiO3F2
1.0
4.711 -1.972 0.000
4.711 1.972 0.000
-1.901 0.000 5.570
Li Ni O F
5 1 3 2
Direct
0.000 0.000 0.000 Li
0.304 0.304 0.194 Li
0.323 0.323 0.625 Li
0.677 0.677 0.375 Li
0.696 0.696 0.806 Li
0.000 0.000 0.500 Ni
0.139 0.139 0.322 O
0.500 0.500 0.500 O
0.861 0.861 0.678 O
0.179 0.179 0.847 F
0.821 0.821 0.153 F
```